No. 1
The following is a computed PXRD pattern of NaVS2. It was derived from a structure optimized by DFT (PBE), using λ = 1.5418 Å (Cu Kα).
Intensities are scaled so that the largest is 100.

Peak list (8 most intense, 10 to 90 degrees two-theta, sorted by position)
d (Å), 2θ/deg, I/Imax, index
6.541, 13.54, 41, 0 0 3
2.625, 34.16, 100, 1 0 4
2.081, 43.48, 12, 1 0 7
1.925, 47.21, 29, 0 1 8
1.794, 50.90, 31, 1 1 0
1.481, 62.73, 14, 0 2 4
1.208, 79.27, 8, 1 1 12
1.142, 84.91, 12, 2 1 4

abc: 3.5878 3.5878 19.6228
angles: 90.00 90.00 120.00
Space group R-3m (No. 166, hexagonal axes)
One atom of each set of equivalent atoms:
Na  0.0000  0.0000  0.0000 (multiplicity 3)
V  0.0000  0.0000  0.5000 (multiplicity 3)
S  0.0000  0.0000  0.2344 (multiplicity 6)



No. 2
The following is a computed PXRD pattern of NaV6S8. It was derived from a structure optimized by DFT (PBE), using λ = 1.5418 Å (Cu Kα).
Intensities are scaled so that the largest is 100.

Peak list (8 most intense, 10 to 90 degrees two-theta, sorted by position)
d (Å), 2θ/deg, I/Imax, index
7.892, 11.21, 100, 1 0 0
3.012, 29.66, 22, 0 1 1
2.631, 34.08, 16, 3 0 0
2.513, 35.73, 21, 0 2 1
2.200, 41.02, 91, 2 1 1
2.189, 41.24, 44, 3 1 0
1.867, 48.77, 41, 4 -2 1
1.722, 53.18, 17, 1 4 0

abc: 9.1131 9.1131 3.2586
angles: 90.00 90.00 120.00
Space group P-3 (No. 147)
One atom of each set of equivalent atoms:
Na  0.0000  0.0000  0.0000 (multiplicity 1)
V  0.1147  0.4908  0.2493 (multiplicity 6)
S  0.0501  0.7084  0.2516 (multiplicity 6)
S  0.3333  0.6667  0.7497 (multiplicity 2)



No. 3
The following is a computed PXRD pattern of Na2Zn2S3. It was derived from a structure optimized by DFT (PBE), using λ = 1.5418 Å (Cu Kα).
Intensities are scaled so that the largest is 100.

Peak list (8 most intense, 10 to 90 degrees two-theta, sorted by position)
d (Å), 2θ/deg, I/Imax, index
6.220, 14.24, 29, 1 0 1
4.776, 18.58, 100, 1 1 1
3.110, 28.71, 58, 2 0 2
2.870, 31.16, 21, 2 1 2
2.818, 31.75, 30, 0 0 4
2.637, 34.00, 65, 2 2 0
1.925, 47.21, 44, 2 2 4
1.865, 48.84, 18, 4 0 0

abc: 7.4574 7.4574 11.2733
angles: 90.00 90.00 90.00
Space group P4_32_12 (No. 96)
One atom of each set of equivalent atoms:
Na  0.0348  0.2447  0.3534 (multiplicity 8)
Zn  0.0482  0.2372  0.8849 (multiplicity 8)
S  0.0181  0.7401  0.5889 (multiplicity 8)
S  0.1785  0.8215  0.2500 (multiplicity 4)



No. 4
The following is a computed PXRD pattern of Na2Zn2S3. It was derived from a structure optimized by DFT (PBE), using λ = 1.5418 Å (Cu Kα).
Intensities are scaled so that the largest is 100.

Peak list (8 most intense, 10 to 90 degrees two-theta, sorted by position)
d (Å), 2θ/deg, I/Imax, index
6.193, 14.30, 19, 1 0 0
4.664, 19.03, 100, 0 1 1
3.049, 29.29, 39, 1 2 -1
3.014, 29.64, 22, 2 0 -2
2.839, 31.51, 67, 2 1 0
2.528, 35.51, 19, 1 2 1
2.203, 40.96, 36, 1 1 -3
1.876, 48.53, 18, 2 3 0

abc: 7.0190 7.0696 7.0421
angles: 90.00 118.07 90.00
Space group P2_1/c (No. 14)
One atom of each set of equivalent atoms:
Na  0.1449  0.1630  0.4013 (multiplicity 4)
Zn  0.3412  0.6177  0.5690 (multiplicity 4)
S  0.0000  0.0000  0.0000 (multiplicity 2)
S  0.3647  0.5939  0.2413 (multiplicity 4)



No. 5
The following is a computed PXRD pattern of Na2ZnS2. It was derived from a structure optimized by DFT (PBE), using λ = 1.5418 Å (Cu Kα).
Intensities are scaled so that the largest is 100.

Peak list (8 most intense, 10 to 90 degrees two-theta, sorted by position)
d (Å), 2θ/deg, I/Imax, index
4.932, 17.99, 28, 0 1 1
4.398, 20.19, 100, 1 1 -1
3.152, 28.31, 31, 1 0 2
2.949, 30.31, 42, 1 2 1
2.764, 32.40, 28, 3 1 0
2.610, 34.36, 50, 2 2 -1
2.200, 41.02, 35, 3 2 -1
2.092, 43.26, 49, 2 3 0

abc: 9.0173 7.0851 6.8790
angles: 90.00 93.12 90.00
Space group P2_1/c (No. 14)
One atom of each set of equivalent atoms:
Na  0.0448  0.2381  0.0090 (multiplicity 4)
Na  0.3230  0.6658  0.9467 (multiplicity 4)
Zn  0.3718  0.0931  0.8464 (multiplicity 4)
S  0.1480  0.5412  0.2472 (multiplicity 4)
S  0.4142  0.1144  0.1936 (multiplicity 4)



No. 6
The following is a computed PXRD pattern of Na6ZnS4. It was derived from a structure optimized by DFT (PBE), using λ = 1.5418 Å (Cu Kα).
Intensities are scaled so that the largest is 100.

Peak list (8 most intense, 10 to 90 degrees two-theta, sorted by position)
d (Å), 2θ/deg, I/Imax, index
7.778, 11.38, 74, 1 0 0
5.179, 17.12, 67, 1 0 1
3.889, 22.87, 28, 2 0 0
2.707, 33.09, 75, 2 1 1
2.590, 34.64, 66, 2 0 2
2.245, 40.16, 100, 2 2 0
2.218, 40.68, 26, 1 0 3
1.989, 45.62, 31, 2 0 3

abc: 8.9813 8.9813 6.9418
angles: 90.00 90.00 120.00
Space group P6_3mc (No. 186)
One atom of each set of equivalent atoms:
Na  0.0626  0.5313  0.0000 (multiplicity 6)
Na  0.1479  0.2959  0.6722 (multiplicity 6)
Zn  0.3333  0.6667  0.3828 (multiplicity 2)
S  0.1878  0.3755  0.2760 (multiplicity 6)
S  0.3333  0.6667  0.7275 (multiplicity 2)



No. 7
The following is a computed PXRD pattern of Na2Zn2S3. It was derived from a structure optimized by DFT (PBE), using λ = 1.5418 Å (Cu Kα).
Intensities are scaled so that the largest is 100.

Peak list (8 most intense, 10 to 90 degrees two-theta, sorted by position)
d (Å), 2θ/deg, I/Imax, index
6.644, 13.33, 100, 2 0 0
4.431, 20.04, 44, 2 2 -1
3.667, 24.27, 50, 1 3 -1
3.367, 26.47, 45, 2 0 -2
3.208, 27.81, 60, 3 3 -1
2.457, 36.57, 57, 2 4 1
2.186, 41.31, 35, 0 6 0
1.997, 45.42, 70, 3 3 -3

abc: 14.8578 13.1142 6.7349
angles: 90.00 116.58 90.00
Space group C2/c (No. 15)
One atom of each set of equivalent atoms:
Na  0.0000  0.0710  0.2500 (multiplicity 4)
Na  0.0000  0.2190  0.7500 (multiplicity 4)
Na  0.0985  0.4137  0.6200 (multiplicity 8)
Zn  0.1839  0.2348  0.2581 (multiplicity 8)
Zn  0.2109  0.0748  0.7970 (multiplicity 8)
S  0.1161  0.3839  0.0526 (multiplicity 8)
S  0.1384  0.2170  0.5538 (multiplicity 8)
S  0.1484  0.0754  0.0684 (multiplicity 8)



No. 8
The following is a computed PXRD pattern of Na2ZnS2. It was derived from a structure optimized by DFT (PBE), using λ = 1.5418 Å (Cu Kα).
Intensities are scaled so that the largest is 100.

Peak list (8 most intense, 10 to 90 degrees two-theta, sorted by position)
d (Å), 2θ/deg, I/Imax, index
5.595, 15.84, 100, 0 2 0
3.230, 27.62, 30, 1 3 0
2.755, 32.50, 15, 2 1 1
2.636, 34.01, 37, 1 1 2
2.194, 41.15, 34, 2 0 2
2.115, 42.76, 32, 2 4 0
2.042, 44.36, 44, 0 4 2
1.726, 53.05, 13, 1 5 2

abc: 6.4627 11.1853 5.9769
angles: 90.00 90.00 90.00
Space group Ibam (No. 72)
One atom of each set of equivalent atoms:
Na  0.1510  0.1424  0.0000 (multiplicity 8)
Zn  0.0000  0.5000  0.2500 (multiplicity 4)
S  0.2135  0.3891  0.0000 (multiplicity 8)